1.
Structure and theoretical powder XRD pattern of Rb2NaMn2F7 (the GGA+U geometry in Alexandria; Cu Kα (weighted mean of Kα1 and Kα2)).
Peak positions follow from Bragg's law for the DFT cell and can differ from measured ones.

Largest 10 diffraction maxima, sorted by position, 5° ≤ 2θ ≤ 70°:
| 2theta | Rel. int. |
| --- | --- |
| 15.8 | 21 |
| 24.1 | 31 |
| 29.0 | 100 |
| 29.7 | 76 |
| 38.4 | 28 |
| 40.3 | 21 |
| 42.5 | 64 |
| 52.2 | 38 |
| 60.0 | 23 |
| 61.6 | 19 |

Crystal structure
Cell: 11.5812 11.5812 11.5812 Å, 158.82 158.82 30.13°
Atoms (fractional coordinates):
Rb 0.1842 0.1842 0.0000
Rb 0.8158 0.8158 0.0000
Na 0.0000 0.0000 0.0000
Mn 0.4063 0.4063 0.0000
Mn 0.5937 0.5937 0.0000
F 0.0899 0.5899 0.5000
F 0.3104 0.3104 0.0000
F 0.4101 0.9101 0.5000
F 0.5000 0.5000 0.0000
F 0.5899 0.0899 0.5000
F 0.6896 0.6896 0.0000
F 0.9101 0.4101 0.5000

=====

2.
Structure and theoretical powder XRD pattern of BaCrCdF7 (the GGA+U geometry in Alexandria; Cu Kα (weighted mean of Kα1 and Kα2)).
Peak positions follow from Bragg's law for the DFT cell and can differ from measured ones.

Largest 10 diffraction maxima, sorted by position, 5° ≤ 2θ ≤ 70°:
| 2theta | Rel. int. |
| --- | --- |
| 24.9 | 100 |
| 26.2 | 25 |
| 26.7 | 23 |
| 29.1 | 41 |
| 29.3 | 31 |
| 32.8 | 21 |
| 39.7 | 18 |
| 42.6 | 19 |
| 42.8 | 16 |
| 54.0 | 26 |

Crystal structure
Cell: 7.5951 7.5951 15.2998 Å, 91.19 91.19 42.12°
Atoms (fractional coordinates):
Ba 0.1525 0.2255 0.1254
Ba 0.2255 0.1525 0.6254
Ba 0.7745 0.8475 0.3746
Ba 0.8475 0.7745 0.8746
Cr 0.1095 0.1383 0.8752
Cr 0.1383 0.1095 0.3752
Cr 0.8617 0.8905 0.6248
Cr 0.8905 0.8617 0.1248
Cd 0.4613 0.5387 0.2500
Cd 0.5000 0.5000 0.0000
Cd 0.5000 0.5000 0.5000
Cd 0.5387 0.4613 0.7500
F 0.0541 0.6165 0.2224
F 0.0708 0.7494 0.5186
F 0.1194 0.8717 0.3463
F 0.1283 0.8806 0.1537
F 0.1447 0.6116 0.7027
F 0.1641 0.5588 0.0483
F 0.1927 0.3140 0.4037
F 0.2506 0.9292 0.9814
F 0.3140 0.1927 0.9037
F 0.3306 0.5501 0.8726
F 0.3835 0.9459 0.2776
F 0.3884 0.8553 0.7973
F 0.4412 0.8359 0.4517
F 0.4499 0.6694 0.6274
F 0.5501 0.3306 0.3726
F 0.5588 0.1641 0.5483
F 0.6116 0.1447 0.2027
F 0.6165 0.0541 0.7224
F 0.6694 0.4499 0.1274
F 0.6860 0.8073 0.0963
F 0.7494 0.0708 0.0186
F 0.8073 0.6860 0.5963
F 0.8359 0.4412 0.9517
F 0.8553 0.3884 0.2973
F 0.8717 0.1194 0.8463
F 0.8806 0.1283 0.6537
F 0.9292 0.2506 0.4814
F 0.9459 0.3835 0.7776